Structure and calculated PXRD pattern of NbNi3 (a structure optimized by DFT (GGA-PBE); Cu Kα (weighted mean of Kα1 and Kα2)).

Atomic structure:
```
data_NbNi3
_chemical_formula_sum 'Nb1 Ni3'
_cell_length_a 2.6929
_cell_length_b 2.6929
_cell_length_c 8.3058
_cell_angle_alpha 90.00
_cell_angle_beta 90.00
_cell_angle_gamma 120.00
_symmetry_space_group_name_H-M 'P -6 m 2'
_symmetry_Int_Tables_number 187
_symmetry_space_group_name_Hall 'P -6 2'
loop_
_atom_site_label
_atom_site_type_symbol
_atom_site_fract_x
_atom_site_fract_y
_atom_site_fract_z
_atom_site_occupancy
Nb1 Nb 0.0000 0.0000 0.0000 1
Ni1 Ni 0.0000 0.0000 0.5000 1
Ni2 Ni 0.3333 0.6667 0.2641 1
```

Peak list (10 most intense, 2θ from 10° to 90°, by angle)
index, two_theta, Rel. int.
0 0 1, 10.7, 3
1 0 0, 38.6, 27
1 0 1, 40.2, 3
0 0 4, 43.6, 23
1 0 2, 44.6, 100
1 0 4, 59.6, 14
1 1 0, 69.9, 16
1 0 6, 80.7, 14
1 1 4, 86.1, 17
2 0 2, 86.7, 13